Diffraction record for Sc2Co3Si4. The X-ray powder pattern is theoretical, not measured: it uses DFT lattice parameters and positions (GGA-PBE) and Cu Kα (λ = 1.5418 Å).
Lines closer than 0.1° are merged.

Structure:
Cell lengths 5.2071, 13.7097, 6.7805 Å; angles 90.00, 90.00, 90.00 degrees
Space group Cmce (No. 64)
Symmetry-distinct sites (fractional):
Sc1 0.0000 0.1072 0.0995 [8 per cell]
Co1 0.0000 0.0000 0.5000 [4 per cell]
Co2 0.2500 0.2326 0.7500 [8 per cell]
Si1 0.0000 0.1800 0.4802 [8 per cell]
Si2 0.2500 0.0638 0.7500 [8 per cell]

Main lines, sorted by position (15° ≤ 2θ ≤ 90°):
d [Å]	I/Imax	(hkl)
3.039	38	0 2 2
2.434	25	2 2 0
2.412	30	0 4 2
2.291	40	2 2 1
2.284	86	1 5 1
2.165	25	0 6 1
2.146	29	0 2 3
2.065	100	2 0 2
1.895	39	0 6 2
1.769	25	2 4 2